1.
Diffraction record for CeScGe. The XRD peak list is computed, not measured: it uses the PBE geometry in the Materials Project and Cu Kα (λ = 1.5418 Å).
Peak positions follow from Bragg's law for the DFT cell and can differ from measured ones.

Atomic structure:
```
CeScGe
1.0
-2.140 2.140 8.023
2.140 -2.140 8.023
2.140 2.140 -8.023
Ce Sc Ge
2 2 2
direct
0.178 0.178 0.000
0.822 0.822 0.000
0.000 0.500 0.500
0.500 0.000 0.500
0.377 0.377 0.000
0.623 0.623 0.000
```

Most intense lines, 2θ = 5–70°, sorted by position:
2θ 26.67, rel. 53; 2θ 29.51, rel. 83; 2θ 31.59, rel. 82; 2θ 34.94, rel. 100; 2θ 37.21, rel. 71; 2θ 42.22, rel. 73; 2θ 54.94, rel. 35; 2θ 55.91, rel. 78

2.
Diffraction record for Ce2SiGe. The XRD peak list is computed, not measured: it uses the PBE geometry in the Materials Project and Cu Kα (λ = 1.5418 Å).
Peak positions follow from Bragg's law for the DFT cell and can differ from measured ones.

Atomic structure:
```
Ce2SiGe
1.0
3.954 0.000 0.000
0.000 5.892 0.000
0.000 0.000 8.210
Ce Si Ge
4 2 2
direct
0.000 0.134 0.000
0.000 0.866 0.500
0.500 0.363 0.639
0.500 0.637 0.139
0.500 0.120 0.282
0.500 0.880 0.782
0.000 0.378 0.355
0.000 0.622 0.855
```

Most intense lines, 2θ = 5–70°, sorted by position:
2θ 29.30, rel. 100; 2θ 31.41, rel. 92; 2θ 32.29, rel. 96; 2θ 35.00, rel. 69; 2θ 36.19, rel. 61; 2θ 39.70, rel. 67; 2θ 45.90, rel. 34; 2θ 57.23, rel. 37

3.
Diffraction record for CeSiGe. The XRD peak list is computed, not measured: it uses the PBE geometry in the Materials Project and Cu Kα (λ = 1.5418 Å).
Peak positions follow from Bragg's law for the DFT cell and can differ from measured ones.

Atomic structure:
```
CeSiGe
1.0
-2.076 2.076 7.348
2.076 -2.076 7.348
2.076 2.076 -7.348
Ce Si Ge
2 2 2
direct
0.000 0.000 0.000
0.750 0.250 0.500
0.167 0.667 0.500
0.417 0.417 0.000
0.333 0.833 0.500
0.583 0.583 0.000
```

Most intense lines, 2θ = 5–70°, sorted by position:
2θ 28.18, rel. 41; 2θ 32.86, rel. 100; 2θ 37.49, rel. 48; 2θ 43.61, rel. 35; 2θ 48.59, rel. 23; 2θ 52.73, rel. 15; 2θ 58.83, rel. 25; 2θ 67.33, rel. 17

4.
Diffraction record for CeSiGe. The XRD peak list is computed, not measured: it uses the PBE geometry in the Materials Project and Cu Kα (λ = 1.5418 Å).
Peak positions follow from Bragg's law for the DFT cell and can differ from measured ones.

Atomic structure:
```
CeSiGe
1.0
-2.050 2.079 7.459
2.050 -2.079 7.459
2.050 2.079 -7.459
Ce Si Ge
2 2 2
direct
0.380 0.130 0.250
0.620 0.870 0.750
0.039 0.289 0.750
0.961 0.711 0.250
0.203 0.453 0.750
0.797 0.547 0.250
```

Most intense lines, 2θ = 5–70°, sorted by position:
2θ 28.21, rel. 37; 2θ 32.95, rel. 100; 2θ 37.09, rel. 38; 2θ 43.54, rel. 18; 2θ 44.19, rel. 17; 2θ 48.12, rel. 16; 2θ 52.69, rel. 13; 2θ 59.02, rel. 19